This entry pairs a crystal structure of LiTaCu2Se4 with its computed powder X-ray diffraction pattern. Radiation: Cu Kα X-rays. Structure: a PBE-relaxed structure.
Neutral-atom scattering factors, no anomalous dispersion.

a = 5.6836 Å, b = 5.6836 Å, c = 6.1471 Å
α = 90.00°, β = 90.00°, γ = 90.00°
Space group P-42m (No. 111)
Asymmetric unit:
Li (0.0000, 0.0000, 0.0000) x1
Ta (0.0000, 0.0000, 0.5000) x1
Cu (0.0000, 0.5000, 0.5000) x2
Se (0.2480, 0.2480, 0.2676) x4

Top 10 peaks for 2θ from 10° to 90°, by intensity:
14.4°, d 6.147, intensity 100, (0 0 1)
43.4°, d 2.087, intensity 85, (2 0 2)
26.5°, d 3.364, intensity 82, (1 1 1)
15.6°, d 5.684, intensity 49, (1 0 0)
21.3°, d 4.173, intensity 40, (1 0 1)
45.1°, d 2.009, intensity 39, (2 2 0)
34.8°, d 2.579, intensity 30, (2 0 1)
82.1°, d 1.174, intensity 26, (4 2 2)
53.1°, d 1.725, intensity 23, (3 1 1)
47.6°, d 1.910, intensity 19, (2 2 1)

---

This entry pairs a crystal structure of LiTaCuTe2Se with its computed powder X-ray diffraction pattern. Radiation: Cu Kα X-rays. Structure: a PBE-relaxed structure.
Neutral-atom scattering factors, no anomalous dispersion.

a = 3.7232 Å, b = 14.1036 Å, c = 9.9130 Å
α = 90.00°, β = 90.00°, γ = 90.00°
Space group Cmcm (No. 63)
Asymmetric unit:
Li (0.0000, 0.2425, 0.2500) x4
Ta (0.0000, 0.5000, 0.0000) x4
Cu (0.0000, 0.0256, 0.7500) x4
Te (0.0000, 0.1464, 0.5561) x8
Se (0.0000, 0.4165, 0.7500) x4

Top 10 peaks for 2θ from 10° to 90°, by intensity:
35.7°, d 2.515, intensity 100, (1 3 2)
12.6°, d 7.052, intensity 80, (0 2 0)
30.6°, d 2.918, intensity 56, (1 3 0)
49.0°, d 1.860, intensity 41, (2 0 0)
17.9°, d 4.957, intensity 36, (0 0 2)
44.2°, d 2.048, intensity 32, (1 5 2)
29.9°, d 2.992, intensity 31, (0 2 3)
42.6°, d 2.124, intensity 23, (0 6 2)
36.2°, d 2.478, intensity 19, (0 0 4)
32.0°, d 2.800, intensity 17, (1 3 1)

---

This entry pairs a crystal structure of LiTbCu3Se4 with its computed powder X-ray diffraction pattern. Radiation: Cu Kα X-rays. Structure: a PBE-relaxed structure.
Neutral-atom scattering factors, no anomalous dispersion.

a = 6.1596 Å, b = 7.7335 Å, c = 9.5746 Å
α = 90.00°, β = 106.90°, γ = 90.00°
Space group P2_1/m (No. 11)
Asymmetric unit:
Li (0.0766, 0.2500, 0.1812) x2
Tb (0.2821, 0.2500, 0.6968) x2
Cu (0.1924, 0.7500, 0.2381) x2
Cu (0.2979, 0.5765, 0.4854) x4
Se (0.0434, 0.7500, 0.5764) x2
Se (0.1543, 0.2500, 0.9408) x2
Se (0.4075, 0.0153, 0.2759) x4

Top 10 peaks for 2θ from 10° to 90°, by intensity:
15.0°, d 5.909, intensity 100, (0 1 1)
42.9°, d 2.110, intensity 50, (2 2 -3)
27.6°, d 3.233, intensity 46, (1 2 0)
27.8°, d 3.214, intensity 40, (1 2 -1)
36.5°, d 2.460, intensity 38, (2 1 1)
33.1°, d 2.707, intensity 33, (2 1 -2)
30.3°, d 2.951, intensity 30, (2 0 0)
47.5°, d 1.915, intensity 29, (2 2 2)
20.8°, d 4.267, intensity 21, (1 0 -2)
38.7°, d 2.325, intensity 21, (1 1 3)

---

This entry pairs a crystal structure of LiCuTcTe2Se with its computed powder X-ray diffraction pattern. Radiation: Cu Kα X-rays. Structure: a PBE-relaxed structure.
Neutral-atom scattering factors, no anomalous dispersion.

a = 3.5580 Å, b = 13.8375 Å, c = 9.7816 Å
α = 90.00°, β = 90.00°, γ = 90.00°
Space group Cmcm (No. 63)
Asymmetric unit:
Li (0.0000, 0.2405, 0.2500) x4
Cu (0.0000, 0.0314, 0.7500) x4
Tc (0.0000, 0.5000, 0.0000) x4
Te (0.0000, 0.1467, 0.5470) x8
Se (0.0000, 0.4166, 0.7500) x4

Top 10 peaks for 2θ from 10° to 90°, by intensity:
36.8°, d 2.442, intensity 100, (1 3 2)
31.8°, d 2.818, intensity 41, (1 3 0)
12.8°, d 6.919, intensity 38, (0 2 0)
30.3°, d 2.949, intensity 29, (0 2 3)
18.1°, d 4.891, intensity 23, (0 0 2)
50.3°, d 1.815, intensity 21, (1 5 3)
53.9°, d 1.702, intensity 20, (1 1 5)
45.5°, d 1.995, intensity 20, (1 5 2)
33.1°, d 2.707, intensity 20, (1 3 1)
43.4°, d 2.086, intensity 20, (0 6 2)

---

This entry pairs a crystal structure of Li7CuSi2 with its computed powder X-ray diffraction pattern. Radiation: Cu Kα X-rays. Structure: a PBE-relaxed structure.
Neutral-atom scattering factors, no anomalous dispersion.

a = 7.7961 Å, b = 4.3262 Å, c = 16.9044 Å
α = 90.00°, β = 90.00°, γ = 90.00°
Space group Pnma (No. 62)
Asymmetric unit:
Li (0.0234, 0.2500, 0.1207) x4
Li (0.0294, 0.7500, 0.3187) x4
Li (0.0542, 0.7500, 0.4680) x4
Li (0.1101, 0.2500, 0.9583) x4
Li (0.1379, 0.7500, 0.6212) x4
Li (0.1459, 0.2500, 0.8113) x4
Li (0.1915, 0.2500, 0.2564) x4
Cu (0.2242, 0.7500, 0.0371) x4
Si (0.1881, 0.7500, 0.1716) x4
Si (0.1959, 0.2500, 0.4057) x4

Top 10 peaks for 2θ from 10° to 90°, by intensity:
24.1°, d 3.692, intensity 100, (1 1 1)
10.5°, d 8.452, intensity 54, (0 0 2)
22.8°, d 3.898, intensity 34, (2 0 0)
42.9°, d 2.109, intensity 30, (0 1 7)
40.9°, d 2.209, intensity 25, (3 1 1)
41.8°, d 2.163, intensity 17, (0 2 0)
41.9°, d 2.154, intensity 15, (3 1 2)
49.1°, d 1.855, intensity 15, (2 1 7)
44.4°, d 2.039, intensity 13, (1 0 8)
25.2°, d 3.540, intensity 13, (2 0 2)

---

This entry pairs a crystal structure of LiCu3Sn4 with its computed powder X-ray diffraction pattern. Radiation: Cu Kα X-rays. Structure: a PBE-relaxed structure.
Neutral-atom scattering factors, no anomalous dispersion.

a = 4.3315 Å, b = 4.3315 Å, c = 19.7584 Å
α = 90.00°, β = 90.00°, γ = 120.00°
Space group P6_3mc (No. 186)
Asymmetric unit:
Li (0.3333, 0.6667, 0.0000) x2
Cu (0.0000, 0.0000, 0.4515) x2
Cu (0.3333, 0.6667, 0.1376) x2
Cu (0.3333, 0.6667, 0.2672) x2
Sn (0.0000, 0.0000, 0.0833) x2
Sn (0.0000, 0.0000, 0.3166) x2
Sn (0.3333, 0.6667, 0.4136) x2
Sn (0.3333, 0.6667, 0.6952) x2

Top 10 peaks for 2θ from 10° to 90°, by intensity:
41.7°, d 2.166, intensity 100, (1 1 0)
29.9°, d 2.987, intensity 72, (1 0 4)
40.0°, d 2.255, intensity 49, (1 0 7)
43.9°, d 2.063, intensity 38, (1 0 8)
27.4°, d 3.260, intensity 28, (1 0 3)
36.3°, d 2.473, intensity 21, (0 0 8)
24.1°, d 3.685, intensity 20, (1 0 1)
56.5°, d 1.629, intensity 18, (1 1 8)
76.1°, d 1.250, intensity 17, (3 0 0)
52.2°, d 1.753, intensity 16, (2 0 4)

---

This entry pairs a crystal structure of LiCu5Sn2 with its computed powder X-ray diffraction pattern. Radiation: Cu Kα X-rays. Structure: a PBE-relaxed structure.
Neutral-atom scattering factors, no anomalous dispersion.

a = 4.3567 Å, b = 4.3567 Å, c = 6.1651 Å
α = 90.00°, β = 90.00°, γ = 90.00°
Space group P4/mmm (No. 123)
Asymmetric unit:
Li (0.0000, 0.0000, 0.0000) x1
Cu (0.0000, 0.5000, 0.2505) x4
Cu (0.5000, 0.5000, 0.5000) x1
Sn (0.0000, 0.0000, 0.5000) x1
Sn (0.5000, 0.5000, 0.0000) x1

Top 10 peaks for 2θ from 10° to 90°, by intensity:
41.4°, d 2.179, intensity 100, (2 0 0)
75.6°, d 1.258, intensity 32, (3 1 2)
25.0°, d 3.558, intensity 20, (1 0 1)
60.1°, d 1.541, intensity 16, (2 2 0)
49.0°, d 1.858, intensity 10, (2 1 1)
66.1°, d 1.414, intensity 5, (3 0 1)
81.1°, d 1.186, intensity 4, (3 2 1)
14.4°, d 6.165, intensity 3, (0 0 1)
20.4°, d 4.357, intensity 2, (1 0 0)
32.5°, d 2.756, intensity 1, (1 1 1)

---

This entry pairs a crystal structure of LiCu2Sn with its computed powder X-ray diffraction pattern. Radiation: Cu Kα X-rays. Structure: a PBE-relaxed structure.
Neutral-atom scattering factors, no anomalous dispersion.

a = 6.1757 Å, b = 6.1757 Å, c = 6.1757 Å
α = 90.00°, β = 90.00°, γ = 90.00°
Space group Pm-3m (No. 221)
Asymmetric unit:
Li (0.0000, 0.0000, 0.0000) x1
Li (0.0000, 0.0000, 0.5000) x3
Cu (0.2245, 0.2245, 0.2245) x8
Sn (0.0000, 0.5000, 0.5000) x3
Sn (0.5000, 0.5000, 0.5000) x1

Top 10 peaks for 2θ from 10° to 90°, by intensity:
41.4°, d 2.183, intensity 100, (2 2 0)
32.4°, d 2.762, intensity 39, (2 1 0)
75.4°, d 1.261, intensity 27, (4 2 2)
59.9°, d 1.544, intensity 15, (4 0 0)
62.0°, d 1.498, intensity 14, (3 2 2)
44.0°, d 2.059, intensity 14, (3 0 0)
25.0°, d 3.566, intensity 14, (1 1 1)
14.3°, d 6.176, intensity 13, (1 0 0)
84.5°, d 1.147, intensity 9, (5 2 0)
89.8°, d 1.092, intensity 8, (4 4 0)